The following is a calculated XRD peak list of Ba4PrTmCu6O14. It was derived from the GGA-PBE geometry in Alexandria, using CuKα.
Lines closer than 0.1° are merged.

Crystal structure
a = 3.8569 Å, b = 3.9300 Å, c = 23.7517 Å
α = 90.00°, β = 90.00°, γ = 90.00°
Sites, in units of the cell vectors:
Ba: 0.0000 0.0000 0.1576
Ba: 0.0000 0.0000 0.3373
Ba: 0.0000 0.0000 0.6627
Ba: 0.0000 0.0000 0.8424
Pr: 0.0000 0.0000 0.5000
Tm: 0.0000 0.0000 0.0000
Cu: 0.5000 0.5000 0.0716
Cu: 0.5000 0.5000 0.2472
Cu: 0.5000 0.5000 0.4217
Cu: 0.5000 0.5000 0.5783
Cu: 0.5000 0.5000 0.7528
Cu: 0.5000 0.5000 0.9284
O: 0.0000 0.5000 0.0580
O: 0.0000 0.5000 0.4349
O: 0.0000 0.5000 0.5651
O: 0.0000 0.5000 0.9420
O: 0.5000 0.0000 0.0585
O: 0.5000 0.0000 0.2469
O: 0.5000 0.0000 0.4341
O: 0.5000 0.0000 0.5659
O: 0.5000 0.0000 0.7531
O: 0.5000 0.0000 0.9415
O: 0.5000 0.5000 0.1681
O: 0.5000 0.5000 0.3262
O: 0.5000 0.5000 0.6738
O: 0.5000 0.5000 0.8319

Main lines, by angle (5° ≤ 2θ ≤ 70°):
2theta	I (rel.)
7.44	18
32.09	91
32.41	100
32.53	93
39.89	29
45.85	19
46.20	28
47.13	26
57.33	36
57.56	38
58.16	33
68.13	16

The following is a calculated XRD peak list of Ba6Pr2YCu12O24. It was derived from the GGA-PBE geometry in Alexandria, using CuKα.
Lines closer than 0.1° are merged.

Crystal structure
a = 5.5463 Å, b = 8.7696 Å, c = 13.9449 Å
α = 82.79°, β = 84.29°, γ = 71.65°
Sites, in units of the cell vectors:
Ba: 0.0453 0.0453 0.2282
Ba: 0.2871 0.2880 0.7745
Ba: 0.3788 0.3794 0.2255
Ba: 0.6212 0.6206 0.7745
Ba: 0.7129 0.7120 0.2255
Ba: 0.9547 0.9547 0.7718
Pr: 0.3338 0.3323 0.5000
Pr: 0.6662 0.6677 0.5000
Y: 0.0000 0.0000 0.5000
Cu: 0.0952 0.5963 0.9263
Cu: 0.1447 0.6463 0.6286
Cu: 0.1874 0.6895 0.3715
Cu: 0.2382 0.7379 0.0738
Cu: 0.4291 0.9293 0.9257
Cu: 0.4790 0.9787 0.6270
Cu: 0.5210 0.0213 0.3730
Cu: 0.5709 0.0707 0.0743
Cu: 0.7618 0.2621 0.9262
Cu: 0.8126 0.3105 0.6285
Cu: 0.8553 0.3537 0.3714
Cu: 0.9048 0.4037 0.0737
O: 0.0187 0.5188 0.3879
O: 0.0727 0.5729 0.0633
O: 0.1177 0.6184 0.7926
O: 0.1454 0.1445 0.6082
O: 0.1812 0.1808 0.3918
O: 0.2155 0.7159 0.2075
O: 0.2617 0.7602 0.9369
O: 0.3078 0.8196 0.6074
O: 0.3435 0.8556 0.3927
O: 0.4072 0.9059 0.0628
O: 0.4512 0.9516 0.7920
O: 0.4812 0.4811 0.6130
O: 0.5188 0.5189 0.3870
O: 0.5488 0.0484 0.2080
O: 0.5928 0.0941 0.9372
O: 0.6565 0.1444 0.6073
O: 0.6922 0.1804 0.3926
O: 0.7383 0.2398 0.0631
O: 0.7845 0.2841 0.7925
O: 0.8188 0.8192 0.6082
O: 0.8546 0.8555 0.3918
O: 0.8823 0.3816 0.2074
O: 0.9273 0.4271 0.9367
O: 0.9813 0.4812 0.6121

Main lines, by angle (5° ≤ 2θ ≤ 70°):
2theta	I (rel.)
6.40	29
26.11	20
29.92	45
32.19	100
32.44	98
34.60	62
46.02	23
46.25	33
46.32	32
57.47	38
60.34	21
67.33	28

The following is a calculated XRD peak list of Ba6Pr2YCu12O24. It was derived from the GGA-PBE geometry in Alexandria, using CuKα.
Lines closer than 0.1° are merged.

Crystal structure
a = 14.5293 Å, b = 14.5293 Å, c = 5.5516 Å
α = 95.64°, β = 95.64°, γ = 144.81°
Sites, in units of the cell vectors:
Ba: 0.1355 0.8645 0.0000
Ba: 0.1968 0.4706 0.6667
Ba: 0.4706 0.1968 0.6667
Ba: 0.5294 0.8032 0.3333
Ba: 0.8032 0.5294 0.3333
Ba: 0.8645 0.1355 0.0000
Pr: 0.3323 0.3323 0.6660
Pr: 0.6677 0.6677 0.3340
Y: 0.0000 0.0000 0.0000
Cu: 0.0632 0.9368 0.5000
Cu: 0.1201 0.5453 0.1668
Cu: 0.2124 0.7876 0.5000
Cu: 0.2681 0.3961 0.1659
Cu: 0.3961 0.2681 0.1659
Cu: 0.4547 0.8799 0.8332
Cu: 0.5453 0.1201 0.1668
Cu: 0.6039 0.7319 0.8341
Cu: 0.7319 0.6039 0.8341
Cu: 0.7876 0.2124 0.5000
Cu: 0.8799 0.4547 0.8332
Cu: 0.9368 0.0632 0.5000
O: 0.0518 0.6136 0.1675
O: 0.1084 0.2173 0.3261
O: 0.1093 0.2153 0.8368
O: 0.1457 0.8543 0.5000
O: 0.1870 0.4789 0.1665
O: 0.2153 0.1093 0.8368
O: 0.2173 0.1084 0.3261
O: 0.2808 0.7192 0.5000
O: 0.3864 0.9482 0.8325
O: 0.4431 0.5569 0.0000
O: 0.4446 0.5554 0.5000
O: 0.4789 0.1870 0.1665
O: 0.5211 0.8130 0.8335
O: 0.5554 0.4446 0.5000
O: 0.5569 0.4431 0.0000
O: 0.6136 0.0518 0.1675
O: 0.7192 0.2808 0.5000
O: 0.7827 0.8916 0.6739
O: 0.7847 0.8907 0.1632
O: 0.8130 0.5211 0.8335
O: 0.8543 0.1457 0.5000
O: 0.8907 0.7847 0.1632
O: 0.8916 0.7827 0.6739
O: 0.9482 0.3864 0.8325

Main lines, by angle (5° ≤ 2θ ≤ 70°):
2theta	I (rel.)
6.38	31
26.02	21
29.82	44
32.22	100
32.41	51
32.50	48
34.49	64
45.87	23
46.08	33
46.55	33
57.29	19
57.39	20

The following is a calculated XRD peak list of Ba4PrYCu8O16. It was derived from the GGA-PBE geometry in Alexandria, using CuKα.
Lines closer than 0.1° are merged.

Crystal structure
a = 7.8137 Å, b = 3.9169 Å, c = 13.9752 Å
α = 90.00°, β = 98.04°, γ = 90.00°
Sites, in units of the cell vectors:
Ba: 0.0680 0.0000 0.2721
Ba: 0.4316 0.0000 0.7262
Ba: 0.5684 0.0000 0.2738
Ba: 0.9320 0.0000 0.7279
Pr: 0.5000 0.0000 0.0000
Y: 0.0000 0.0000 0.0000
Cu: 0.1435 0.5000 0.5751
Cu: 0.2159 0.5000 0.8735
Cu: 0.2791 0.5000 0.1265
Cu: 0.3558 0.5000 0.4251
Cu: 0.6442 0.5000 0.5749
Cu: 0.7209 0.5000 0.8735
Cu: 0.7841 0.5000 0.1265
Cu: 0.8565 0.5000 0.4249
O: 0.0257 0.5000 0.1030
O: 0.1096 0.5000 0.4384
O: 0.1765 0.5000 0.7087
O: 0.2150 0.0000 0.8920
O: 0.2690 0.0000 0.1081
O: 0.3221 0.5000 0.2914
O: 0.3905 0.5000 0.5619
O: 0.4721 0.5000 0.8884
O: 0.5279 0.5000 0.1116
O: 0.6095 0.5000 0.4381
O: 0.6779 0.5000 0.7086
O: 0.7310 0.0000 0.8919
O: 0.7850 0.0000 0.1080
O: 0.8235 0.5000 0.2913
O: 0.8904 0.5000 0.5616
O: 0.9743 0.5000 0.8970

Main lines, by angle (5° ≤ 2θ ≤ 70°):
2theta	I (rel.)
6.39	27
26.14	23
29.93	43
32.21	100
32.53	95
34.59	63
45.91	23
46.36	33
46.49	33
57.58	39
59.22	26
60.30	30